Structure and computed XRD peak list of Li2FeCo9O20 (a cell relaxed with GGA+U; Cu Kα).
Lines closer than 0.1° are merged.

Structure:
a = 4.9349 Å, b = 7.5083 Å, c = 10.0207 Å
α = 95.64°, β = 94.66°, γ = 108.99°
Sites, in units of the cell vectors:
Li  0.1996  0.1522  0.2537
Li  0.8004  0.8478  0.7463
Fe  0.0000  0.5000  0.0000
Co  0.0000  0.0000  0.5000
Co  0.2009  0.4009  0.5053
Co  0.2013  0.9024  0.9997
Co  0.3971  0.2969  0.9954
Co  0.3997  0.8000  0.4952
Co  0.6003  0.2000  0.5048
Co  0.6029  0.7031  0.0046
Co  0.7987  0.0976  0.0003
Co  0.7991  0.5991  0.4947
O  0.0840  0.8135  0.5940
O  0.0967  0.3022  0.1008
O  0.0981  0.0749  0.8999
O  0.1095  0.5805  0.4037
O  0.2928  0.2187  0.5975
O  0.3046  0.7338  0.0981
O  0.3124  0.9881  0.4027
O  0.3307  0.4829  0.9023
O  0.4852  0.1167  0.0966
O  0.4996  0.3748  0.4041
O  0.5004  0.6252  0.5959
O  0.5148  0.8833  0.9034
O  0.6693  0.5171  0.0977
O  0.6876  0.0119  0.5973
O  0.6954  0.2662  0.9019
O  0.7072  0.7813  0.4025
O  0.8905  0.4195  0.5963
O  0.9019  0.9251  0.1001
O  0.9033  0.6978  0.8992
O  0.9160  0.1865  0.4060

Main lines, low angle first (5° ≤ 2θ ≤ 70°):
| d_spacing | Rel. int. |
| --- | --- |
| 4.950 | 100 |
| 2.434 | 19 |
| 2.422 | 9 |
| 2.062 | 14 |
| 2.054 | 14 |
| 2.042 | 14 |

Structure and computed XRD peak list of Li5Fe2Co3O10 (a cell relaxed with GGA+U; Cu Kα).
Lines closer than 0.1° are merged.

Structure:
a = 5.1570 Å, b = 5.1659 Å, c = 7.7824 Å
α = 103.92°, β = 108.45°, γ = 99.06°
Sites, in units of the cell vectors:
Li  0.0000  0.0000  0.0000
Li  0.2038  0.1014  0.7118
Li  0.4198  0.7089  0.9125
Li  0.5802  0.2911  0.0875
Li  0.7962  0.8986  0.2882
Fe  0.1925  0.5988  0.1916
Fe  0.8075  0.4012  0.8084
Co  0.0000  0.5000  0.5000
Co  0.3992  0.1927  0.3904
Co  0.6008  0.8073  0.6096
O  0.0143  0.2737  0.2698
O  0.1862  0.3570  0.9521
O  0.2121  0.8424  0.4504
O  0.3973  0.9584  0.1671
O  0.4077  0.4473  0.6400
O  0.5923  0.5527  0.3600
O  0.6027  0.0416  0.8329
O  0.7879  0.1576  0.5496
O  0.8138  0.6430  0.0479
O  0.9857  0.7263  0.7302

Main lines, low angle first (5° ≤ 2θ ≤ 70°):
| d_spacing | Rel. int. |
| --- | --- |
| 7.019 | 58 |
| 4.842 | 88 |
| 3.385 | 28 |
| 2.422 | 36 |
| 2.117 | 100 |
| 2.060 | 44 |

Structure and computed XRD peak list of Li6Fe3Co3O16 (a cell relaxed with GGA+U; Cu Kα).
Lines closer than 0.1° are merged.

Structure:
a = 5.7209 Å, b = 5.7501 Å, c = 9.8380 Å
α = 90.36°, β = 90.31°, γ = 119.58°
Sites, in units of the cell vectors:
Li  0.0000  0.0000  0.0000
Li  0.0026  0.0052  0.4984
Li  0.3161  0.6547  0.6098
Li  0.3221  0.6650  0.9971
Li  0.6489  0.3209  0.1090
Li  0.6542  0.3255  0.4991
Fe  0.6502  0.8230  0.2839
Fe  0.8167  0.1607  0.7842
Fe  0.8168  0.6553  0.7830
Co  0.1543  0.3268  0.2850
Co  0.1575  0.8239  0.2828
Co  0.3230  0.1607  0.7843
O  0.0083  0.9991  0.1824
O  0.0156  0.5049  0.1832
O  0.1447  0.3040  0.8860
O  0.1479  0.8436  0.8830
O  0.2967  0.6515  0.3929
O  0.3020  0.1507  0.3835
O  0.4598  0.9554  0.1789
O  0.4634  0.5064  0.1789
O  0.4958  0.4696  0.6806
O  0.4998  0.0234  0.6789
O  0.6477  0.3054  0.8948
O  0.6790  0.8432  0.8880
O  0.8368  0.1511  0.3836
O  0.8398  0.6886  0.3857
O  0.9519  0.4702  0.6773
O  0.9937  0.0135  0.6817

Main lines, low angle first (5° ≤ 2θ ≤ 70°):
| d_spacing | Rel. int. |
| --- | --- |
| 4.919 | 100 |
| 4.467 | 12 |
| 4.429 | 25 |
| 2.404 | 15 |
| 2.212 | 12 |
| 1.978 | 18 |

Structure and computed XRD peak list of Li10FeCo9O20 (a cell relaxed with GGA+U; Cu Kα).
Lines closer than 0.1° are merged.

Structure:
a = 5.0064 Å, b = 7.6116 Å, c = 9.8113 Å
α = 80.21°, β = 84.88°, γ = 71.30°
Sites, in units of the cell vectors:
Li  0.0000  0.0000  0.0000
Li  0.0907  0.3020  0.5061
Li  0.1983  0.6059  0.0004
Li  0.2965  0.9002  0.5031
Li  0.4031  0.2049  0.0006
Li  0.4964  0.5001  0.5038
Li  0.5995  0.8019  0.0015
Li  0.7022  0.1028  0.5071
Li  0.8043  0.3989  0.9982
Li  0.9068  0.7033  0.5062
Fe  0.3487  0.0535  0.7526
Co  0.0505  0.1499  0.2530
Co  0.1510  0.4523  0.7529
Co  0.2537  0.7514  0.2517
Co  0.4479  0.3561  0.2550
Co  0.5503  0.6516  0.7523
Co  0.6515  0.9504  0.2510
Co  0.7510  0.2506  0.7530
Co  0.8537  0.5490  0.2533
Co  0.9483  0.8523  0.7526
O  0.0196  0.0742  0.6453
O  0.0728  0.2323  0.8598
O  0.1101  0.3792  0.1344
O  0.1720  0.5400  0.3684
O  0.2146  0.6764  0.6421
O  0.2650  0.8350  0.8626
O  0.3253  0.9686  0.1360
O  0.3694  0.1342  0.3695
O  0.4250  0.2770  0.6466
O  0.4773  0.4236  0.8624
O  0.5129  0.5759  0.1381
O  0.5716  0.7294  0.3652
O  0.6254  0.8792  0.6407
O  0.6788  0.0285  0.8603
O  0.7236  0.1737  0.1361
O  0.7728  0.3261  0.3738
O  0.8350  0.4666  0.6437
O  0.8843  0.6286  0.8634
O  0.9429  0.7739  0.1402
O  0.9919  0.9202  0.3645

Main lines, low angle first (5° ≤ 2θ ≤ 70°):
| d_spacing | Rel. int. |
| --- | --- |
| 4.831 | 100 |
| 2.470 | 27 |
| 2.452 | 13 |
| 2.360 | 9 |
| 2.063 | 48 |
| 2.047 | 24 |

Structure and computed XRD peak list of Li2FeCoO4 (a cell relaxed with GGA+U; Cu Kα).
Lines closer than 0.1° are merged.

Structure:
a = 9.6048 Å, b = 9.6048 Å, c = 9.6048 Å
α = 17.21°, β = 17.21°, γ = 17.21°
Sites, in units of the cell vectors:
Li  0.2492  0.2492  0.2492
Li  0.7508  0.7508  0.7508
Fe  0.0000  0.0000  0.0000
Co  0.5000  0.5000  0.5000
O  0.1307  0.1307  0.1307
O  0.3711  0.3711  0.3711
O  0.6289  0.6289  0.6289
O  0.8693  0.8693  0.8693

Main lines, low angle first (5° ≤ 2θ ≤ 70°):
| d_spacing | Rel. int. |
| --- | --- |
| 4.730 | 100 |
| 2.451 | 40 |
| 2.037 | 72 |
| 1.572 | 14 |
| 1.444 | 19 |
| 1.437 | 20 |

Structure and computed XRD peak list of Li8Fe3Co7O20 (a cell relaxed with GGA+U; Cu Kα).
Lines closer than 0.1° are merged.

Structure:
a = 5.9203 Å, b = 2.8764 Å, c = 20.5075 Å
α = 90.00°, β = 96.85°, γ = 90.00°
Sites, in units of the cell vectors:
Li  0.0000  0.0000  0.0000
Li  0.0006  0.5000  0.5044
Li  0.2063  0.0000  0.3987
Li  0.2321  0.5000  0.8906
Li  0.5552  0.5000  0.7085
Li  0.5847  0.0000  0.2050
Li  0.7892  0.0000  0.6032
Li  0.7957  0.5000  0.1013
Fe  0.1140  0.0000  0.2031
Fe  0.4970  0.0000  0.9999
Fe  0.6772  0.0000  0.4018
Co  0.0937  0.5000  0.7021
Co  0.2916  0.0000  0.6031
Co  0.2960  0.5000  0.1000
Co  0.4934  0.5000  0.5053
Co  0.6981  0.5000  0.8983
Co  0.8935  0.0000  0.8000
Co  0.8953  0.5000  0.3022
O  0.0700  0.5000  0.6069
O  0.0708  0.0000  0.1026
O  0.1012  0.5000  0.7961
O  0.1054  0.0000  0.3017
O  0.2586  0.5000  0.0029
O  0.2732  0.0000  0.5080
O  0.3089  0.0000  0.6967
O  0.3389  0.5000  0.1950
O  0.4521  0.5000  0.4098
O  0.4793  0.0000  0.9014
O  0.5138  0.5000  0.6004
O  0.5209  0.0000  0.0997
O  0.6859  0.0000  0.3027
O  0.6863  0.5000  0.8043
O  0.7208  0.0000  0.5027
O  0.7367  0.5000  0.9954
O  0.8676  0.5000  0.2083
O  0.8723  0.0000  0.7068
O  0.9169  0.0000  0.8930
O  0.9236  0.5000  0.3961

Main lines, low angle first (5° ≤ 2θ ≤ 70°):
| d_spacing | Rel. int. |
| --- | --- |
| 4.846 | 100 |
| 2.458 | 24 |
| 2.444 | 13 |
| 2.063 | 42 |
| 2.036 | 20 |
| 1.437 | 16 |

Structure and computed XRD peak list of LiFeCo3O8 (a cell relaxed with GGA+U; Cu Kα).
Lines closer than 0.1° are merged.

Structure:
a = 5.8935 Å, b = 5.8935 Å, c = 5.8935 Å
α = 58.59°, β = 58.59°, γ = 58.59°
Sites, in units of the cell vectors:
Li  0.0000  0.0000  0.0000
Fe  0.5000  0.5000  0.5000
Co  0.0000  0.0000  0.5000
Co  0.0000  0.5000  0.0000
Co  0.5000  0.0000  0.0000
O  0.2137  0.7441  0.7441
O  0.2321  0.2321  0.2321
O  0.2559  0.2559  0.7863
O  0.2559  0.7863  0.2559
O  0.7441  0.2137  0.7441
O  0.7441  0.7441  0.2137
O  0.7679  0.7679  0.7679
O  0.7863  0.2559  0.2559

Main lines, low angle first (5° ≤ 2θ ≤ 70°):
| d_spacing | Rel. int. |
| --- | --- |
| 4.863 | 100 |
| 2.462 | 32 |
| 2.061 | 47 |
| 1.600 | 15 |
| 1.442 | 13 |
| 1.382 | 13 |

Structure and computed XRD peak list of Li4Fe3CoO8 (a cell relaxed with GGA+U; Cu Kα).
Lines closer than 0.1° are merged.

Structure:
a = 5.9078 Å, b = 5.9558 Å, c = 10.3129 Å
α = 73.95°, β = 73.54°, γ = 60.31°
Sites, in units of the cell vectors:
Li  0.0000  0.0000  0.0000
Li  0.9996  0.4945  0.0010
Li  0.0014  0.4966  0.4986
Li  0.4874  0.0051  0.0035
Li  0.4894  0.5013  0.5022
Li  0.4900  0.0064  0.5012
Li  0.4954  0.5006  0.9989
Li  0.9938  0.0006  0.5033
Fe  0.2441  0.2509  0.7511
Fe  0.2447  0.2507  0.2512
Fe  0.2447  0.7505  0.2510
Fe  0.7445  0.7504  0.2511
Fe  0.7439  0.7515  0.7509
Fe  0.7449  0.2509  0.7511
Co  0.2447  0.7505  0.7512
Co  0.7450  0.2501  0.2512
O  0.1057  0.1429  0.6325
O  0.1162  0.6178  0.1370
O  0.1215  0.1180  0.1361
O  0.1208  0.6255  0.6397
O  0.3680  0.3836  0.3663
O  0.3682  0.8763  0.8623
O  0.3730  0.8835  0.3653
O  0.3836  0.3585  0.8694
O  0.5973  0.6279  0.6411
O  0.6148  0.6264  0.1351
O  0.6188  0.1175  0.6364
O  0.6231  0.1246  0.1395
O  0.8660  0.3766  0.3627
O  0.8704  0.3842  0.8659
O  0.8745  0.8746  0.3668
O  0.8921  0.8734  0.8611

Main lines, low angle first (5° ≤ 2θ ≤ 70°):
| d_spacing | Rel. int. |
| --- | --- |
| 4.879 | 100 |
| 2.552 | 15 |
| 2.524 | 28 |
| 2.124 | 27 |
| 2.098 | 26 |
| 2.092 | 26 |

Structure and computed XRD peak list of Li2Fe3Co7O20 (a cell relaxed with GGA+U; Cu Kα).
Lines closer than 0.1° are merged.

Structure:
a = 5.8651 Å, b = 2.8806 Å, c = 20.5124 Å
α = 90.00°, β = 97.41°, γ = 90.00°
Sites, in units of the cell vectors:
Li  0.0000  0.0000  0.0000
Li  0.0000  0.5000  0.5000
Fe  0.0988  0.0000  0.2021
Fe  0.5000  0.0000  0.0000
Fe  0.9012  0.0000  0.7979
Co  0.1035  0.5000  0.6969
Co  0.3075  0.5000  0.1025
Co  0.3181  0.0000  0.6012
Co  0.5000  0.5000  0.5000
Co  0.6819  0.0000  0.3988
Co  0.6925  0.5000  0.8975
Co  0.8965  0.5000  0.3031
O  0.0942  0.0000  0.1023
O  0.1027  0.0000  0.3008
O  0.1049  0.5000  0.6038
O  0.1206  0.5000  0.7874
O  0.2692  0.5000  0.0091
O  0.2851  0.0000  0.5074
O  0.3129  0.0000  0.6920
O  0.3171  0.5000  0.1923
O  0.4811  0.5000  0.4078
O  0.4884  0.0000  0.9024
O  0.5116  0.0000  0.0976
O  0.5189  0.5000  0.5922
O  0.6829  0.5000  0.8077
O  0.6871  0.0000  0.3080
O  0.7149  0.0000  0.4926
O  0.7308  0.5000  0.9909
O  0.8794  0.5000  0.2126
O  0.8951  0.5000  0.3962
O  0.8973  0.0000  0.6992
O  0.9058  0.0000  0.8977

Main lines, low angle first (5° ≤ 2θ ≤ 70°):
| d_spacing | Rel. int. |
| --- | --- |
| 4.790 | 100 |
| 2.460 | 22 |
| 2.449 | 11 |
| 2.055 | 32 |
| 2.034 | 15 |
| 1.439 | 13 |

> Number 7 is which compound?

LiFeCo3O8